Record 1
Simulated PXRD pattern
Compound: CrBiO3
Radiation: Cu Kα
Structure: DFT lattice parameters and positions (GGA+U)
Lines closer than 0.1° are merged.

Cell and atoms:
Unit cell a=5.6766 b=7.8408 c=5.4676 alpha=90.00 beta=90.00 gamma=90.00
Positions (direct):
Cr: 0.0000 0.0000 0.0000
Cr: 0.0000 0.5000 0.0000
Cr: 0.5000 0.0000 0.5000
Cr: 0.5000 0.5000 0.5000
Bi: 0.0524 0.2500 0.4907
Bi: 0.4476 0.7500 0.9907
Bi: 0.5524 0.2500 0.0093
Bi: 0.9476 0.7500 0.5093
O: 0.0275 0.7500 0.0930
O: 0.2010 0.5453 0.6975
O: 0.2010 0.9547 0.6975
O: 0.2990 0.0453 0.1975
O: 0.2990 0.4547 0.1975
O: 0.4725 0.2500 0.5930
O: 0.5275 0.7500 0.4070
O: 0.7010 0.5453 0.8025
O: 0.7010 0.9547 0.8025
O: 0.7990 0.0453 0.3025
O: 0.7990 0.4547 0.3025
O: 0.9725 0.2500 0.9070

Principal peaks in the range 2θ from 15° to 90°, sorted by position:
2θ/deg	I_rel
22.6	35.7
22.7	20.6
25.3	14.7
31.5	20.7
32.2	100.0
32.8	25.3
40.2	16.6
46.1	19.9
52.5	15.5
58.1	22.2

Record 2
Simulated PXRD pattern
Compound: CrBiO5
Radiation: Cu Kα
Structure: DFT lattice parameters and positions (GGA+U)
Lines closer than 0.1° are merged.

Cell and atoms:
Unit cell a=7.3429 b=11.2745 c=9.9008 alpha=90.00 beta=90.00 gamma=90.00
Positions (direct):
Cr: 0.1588 0.1415 0.0888
Cr: 0.1588 0.3585 0.5888
Cr: 0.3412 0.6415 0.0888
Cr: 0.3412 0.8585 0.5888
Cr: 0.6588 0.1415 0.4112
Cr: 0.6588 0.3585 0.9112
Cr: 0.8412 0.6415 0.4112
Cr: 0.8412 0.8585 0.9112
Bi: 0.0084 0.5899 0.8249
Bi: 0.0084 0.9101 0.3249
Bi: 0.4916 0.0899 0.8249
Bi: 0.4916 0.4101 0.3249
Bi: 0.5084 0.5899 0.6751
Bi: 0.5084 0.9101 0.1751
Bi: 0.9916 0.0899 0.6751
Bi: 0.9916 0.4101 0.1751
O: 0.0385 0.0779 0.4476
O: 0.0385 0.4221 0.9476
O: 0.0575 0.6613 0.3948
O: 0.0575 0.8387 0.8948
O: 0.2033 0.1208 0.9224
O: 0.2033 0.3792 0.4224
O: 0.2191 0.0194 0.1850
O: 0.2191 0.4806 0.6850
O: 0.2436 0.7360 0.6466
O: 0.2436 0.7640 0.1466
O: 0.2564 0.2360 0.6466
O: 0.2564 0.2640 0.1466
O: 0.2809 0.5194 0.1850
O: 0.2809 0.9806 0.6850
O: 0.2967 0.6208 0.9224
O: 0.2967 0.8792 0.4224
O: 0.4425 0.1613 0.3948
O: 0.4425 0.3387 0.8948
O: 0.4615 0.5779 0.4476
O: 0.4615 0.9221 0.9476
O: 0.5385 0.0779 0.0524
O: 0.5385 0.4221 0.5524
O: 0.5575 0.6613 0.1052
O: 0.5575 0.8387 0.6052
O: 0.7033 0.1208 0.5776
O: 0.7033 0.3792 0.0776
O: 0.7191 0.0194 0.3150
O: 0.7191 0.4806 0.8150
O: 0.7436 0.7360 0.8534
O: 0.7436 0.7640 0.3534
O: 0.7564 0.2360 0.8534
O: 0.7564 0.2640 0.3534
O: 0.7809 0.5194 0.3150
O: 0.7809 0.9806 0.8150
O: 0.7967 0.6208 0.5776
O: 0.7967 0.8792 0.0776
O: 0.9425 0.1613 0.1052
O: 0.9425 0.3387 0.6052
O: 0.9615 0.5779 0.0524
O: 0.9615 0.9221 0.5524

Principal peaks in the range 2θ from 15° to 90°, sorted by position:
2θ/deg	I_rel
17.0	59.8
18.1	100.0
23.1	93.5
24.2	40.2
30.4	90.5
30.7	83.1
32.3	84.7
41.4	34.3
45.6	49.0
50.6	34.0

Record 3
Simulated PXRD pattern
Compound: CrBiO3
Radiation: Cu Kα
Structure: DFT lattice parameters and positions (GGA+U)
Lines closer than 0.1° are merged.

Cell and atoms:
Unit cell a=5.6212 b=5.6212 c=5.6212 alpha=59.75 beta=59.75 gamma=59.75
Positions (direct):
Cr: 0.0000 0.0000 0.0000
Cr: 0.5000 0.5000 0.5000
Bi: 0.2779 0.2779 0.2779
Bi: 0.7779 0.7779 0.7779
O: 0.1745 0.3223 0.7221
O: 0.2221 0.8223 0.6745
O: 0.3223 0.7221 0.1745
O: 0.6745 0.2221 0.8223
O: 0.7221 0.1745 0.3223
O: 0.8223 0.6745 0.2221

Principal peaks in the range 2θ from 15° to 90°, sorted by position:
2θ/deg	I_rel
22.4	86.6
31.8	99.2
32.0	100.0
39.4	34.7
45.7	48.5
51.4	33.5
51.6	21.5
56.7	17.8
56.9	66.2
75.9	16.6

Q: Number 2 is which compound?
A: CrBiO5

Q: Which formula does entry 3 have?
A: CrBiO3